Record 1
Structure and computed PXRD pattern of Ba3DyIrRuO9 (a crystal structure in Alexandria, relaxed with PBE; Cu Kα (weighted mean of Kα1 and Kα2)).
Kinematic intensities with the Lorentz-polarization factor, no thermal factor.

Peak list (8 most intense, 2θ from 5° to 70°, by intensity)
- 2.977 Å, 30.02°, I = 100
- 2.991 Å, 29.88°, I = 62
- 1.720 Å, 53.25°, I = 44
- 2.110 Å, 42.86°, I = 34
- 3.550 Å, 25.09°, I = 18
- 1.488 Å, 62.39°, I = 18
- 4.865 Å, 18.24°, I = 16
- 2.552 Å, 35.17°, I = 15

Structural model:
```
Ba3DyIrRuO9
1.0
5.9537 0.0000 0.0000
-2.9769 5.1561 0.0000
0.0000 0.0000 14.6845
Ba Dy Ir Ru O
6 2 2 2 18
direct
0.0000 0.0000 0.0000
0.0000 0.0000 0.5000
0.3333 0.6667 0.1585
0.3333 0.6667 0.8438
0.6667 0.3333 0.3438
0.6667 0.3333 0.6585
0.0000 0.0000 0.2504
0.0000 0.0000 0.7504
0.3333 0.6667 0.4139
0.6667 0.3333 0.9139
0.3333 0.6667 0.5861
0.6667 0.3333 0.0861
0.0206 0.5103 0.5000
0.1762 0.3524 0.6612
0.1763 0.3525 0.3355
0.1763 0.8237 0.3355
0.1762 0.8238 0.6612
0.3524 0.1762 0.1612
0.3525 0.1763 0.8355
0.4897 0.5103 0.5000
0.4897 0.9794 0.5000
0.5103 0.0206 0.0000
0.5103 0.4897 0.0000
0.6475 0.8237 0.3355
0.6476 0.8238 0.6612
0.8238 0.1762 0.1612
0.8237 0.1763 0.8355
0.8237 0.6475 0.8355
0.8238 0.6476 0.1612
0.9794 0.4897 0.0000
```

---

Record 2
Structure and computed PXRD pattern of Na3CoPt (a crystal structure in Alexandria, relaxed with PBE; Cu Kα (weighted mean of Kα1 and Kα2)).
Kinematic intensities with the Lorentz-polarization factor, no thermal factor.

Peak list (8 most intense, 2θ from 5° to 70°, by intensity)
- 3.674 Å, 24.23°, I = 100
- 2.121 Å, 42.63°, I = 45
- 2.598 Å, 34.53°, I = 41
- 2.999 Å, 29.79°, I = 31
- 1.837 Å, 49.63°, I = 29
- 1.388 Å, 67.45°, I = 23
- 5.195 Å, 17.07°, I = 22
- 1.643 Å, 55.97°, I = 20

Structural model:
```
Na3CoPt
1.0
5.1952 0.0000 0.0000
0.0000 5.1952 0.0000
0.0000 0.0000 5.1952
Na Co Pt
3 1 1
direct
0.0000 0.0000 0.5000
0.0000 0.5000 0.0000
0.5000 0.0000 0.0000
0.0000 0.0000 0.0000
0.5000 0.5000 0.5000
```

---

Record 3
Structure and computed PXRD pattern of Sm5ErP6 (a crystal structure in Alexandria, relaxed with PBE; Cu Kα (weighted mean of Kα1 and Kα2)).
Kinematic intensities with the Lorentz-polarization factor, no thermal factor.

Peak list (6 most intense, 2θ from 5° to 70°, by intensity)
- 2.889 Å, 30.95°, I = 100
- 3.336 Å, 26.72°, I = 83
- 2.043 Å, 44.34°, I = 73
- 1.742 Å, 52.53°, I = 41
- 1.668 Å, 55.06°, I = 26
- 1.445 Å, 64.51°, I = 12

Structural model:
```
Sm5ErP6
1.0
3.5391 -6.1280 0.0000
3.5391 6.1280 0.0000
-2.3602 0.0000 6.6710
Sm Er P
5 1 6
direct
0.0000 0.0000 0.0000
0.1664 0.8336 0.5000
0.3326 0.6674 0.0000
0.6674 0.3326 0.0000
0.8336 0.1664 0.5000
0.5000 0.5000 0.5000
0.0888 0.4177 0.2530
0.2537 0.2537 0.7475
0.4177 0.0888 0.2530
0.5823 0.9112 0.7470
0.7463 0.7463 0.2525
0.9112 0.5823 0.7470
```

---

Record 4
Structure and computed PXRD pattern of VCoCuPt (a crystal structure in Alexandria, relaxed with PBE; Cu Kα (weighted mean of Kα1 and Kα2)).
Kinematic intensities with the Lorentz-polarization factor, no thermal factor.

Peak list (7 most intense, 2θ from 5° to 70°, by intensity)
- 2.094 Å, 43.20°, I = 100
- 3.420 Å, 26.06°, I = 31
- 2.962 Å, 30.18°, I = 17
- 1.786 Å, 51.15°, I = 16
- 1.481 Å, 62.75°, I = 16
- 1.359 Å, 69.13°, I = 7
- 1.710 Å, 53.60°, I = 5

Structural model:
```
VCoCuPt
1.0
5.9232 0.0000 0.0000
0.0000 5.9232 0.0000
0.0000 0.0000 5.9232
V Co Cu Pt
4 4 4 4
direct
0.0000 0.0000 0.0000
0.0000 0.5000 0.5000
0.5000 0.0000 0.5000
0.5000 0.5000 0.0000
0.2500 0.2500 0.7500
0.2500 0.7500 0.2500
0.7500 0.2500 0.2500
0.7500 0.7500 0.7500
0.0000 0.0000 0.5000
0.0000 0.5000 0.0000
0.5000 0.0000 0.0000
0.5000 0.5000 0.5000
0.2500 0.2500 0.2500
0.2500 0.7500 0.7500
0.7500 0.2500 0.7500
0.7500 0.7500 0.2500
```